Structure and computed X-ray diffraction stick pattern of K2InH6Ru (the GGA-PBE geometry in Alexandria; CuKα).
Kinematic intensities with the Lorentz-polarization factor, no thermal factor.

Main lines, in order of rising 2θ (2θ from 10° to 90°):
two_theta	d_spacing	I_rel
22.51	3.949	21.6
22.63	3.930	10.7
32.09	2.789	100.0
32.20	2.780	19.8
57.12	1.613	14.3
57.26	1.609	21.3

Structural model:
Unit cell a=5.577 b=5.577 c=5.560 alpha=119.81 beta=119.81 gamma=90.40
Positions (direct):
K 0.249 0.751 0.000
K 0.751 0.249 0.000
In 0.500 0.500 0.500
H 0.224 0.776 0.500
H 0.227 0.227 0.950
H 0.228 0.228 0.506
H 0.772 0.772 0.494
H 0.773 0.773 0.050
H 0.776 0.224 0.500
Ru 0.000 0.000 0.500